1.
Ho3InS6: theoretical powder diffractogram (λ = 1.5418 Å (Cu Kα)), based on DFT lattice parameters and positions (PBE).
Lines closer than 0.1° are merged.

Crystal structure
Cell lengths 13.413, 16.509, 3.842 Å; angles 90.00, 90.00, 90.00 degrees
Element x y z (fractional)
Ho 0.035 0.225 0.250
Ho 0.192 0.644 0.248
Ho 0.248 0.390 0.238
Ho 0.252 0.890 0.762
Ho 0.308 0.144 0.752
Ho 0.465 0.725 0.750
Ho 0.535 0.275 0.750
Ho 0.692 0.856 0.752
Ho 0.748 0.110 0.762
Ho 0.752 0.610 0.238
Ho 0.808 0.356 0.248
Ho 0.965 0.775 0.250
In 0.000 0.000 0.857
In 0.000 0.500 0.746
In 0.500 0.000 0.254
In 0.500 0.500 0.143
S 0.020 0.395 0.246
S 0.102 0.908 0.268
S 0.107 0.118 0.752
S 0.116 0.744 0.750
S 0.179 0.284 0.742
S 0.194 0.520 0.746
S 0.306 0.020 0.254
S 0.321 0.784 0.258
S 0.384 0.244 0.250
S 0.393 0.618 0.248
S 0.398 0.408 0.732
S 0.480 0.895 0.754
S 0.520 0.105 0.754
S 0.602 0.592 0.732
S 0.607 0.382 0.248
S 0.616 0.756 0.250
S 0.679 0.216 0.258
S 0.694 0.980 0.254
S 0.806 0.480 0.746
S 0.821 0.716 0.742
S 0.884 0.256 0.750
S 0.893 0.882 0.752
S 0.898 0.092 0.268
S 0.980 0.605 0.246

Largest 10 diffraction maxima, by angle, 5 to 70 degrees two-theta:
two_theta, d/Å, I_rel
25.34, 3.515, 100
26.44, 3.372, 52
27.29, 3.268, 32
31.37, 2.851, 38
32.58, 2.749, 33
34.84, 2.575, 41
35.86, 2.504, 38
41.41, 2.181, 30
45.15, 2.008, 34
47.32, 1.921, 42



2.
YHoIn3Si2: theoretical powder diffractogram (λ = 1.5418 Å (Cu Kα)), based on DFT lattice parameters and positions (PBE).
Lines closer than 0.1° are merged.

Crystal structure
Cell lengths 5.731, 5.731, 6.991 Å; angles 99.15, 99.15, 43.76 degrees
Element x y z (fractional)
Y 0.000 0.000 0.000
Ho 0.758 0.758 0.336
In 0.074 0.074 0.518
In 0.379 0.379 0.667
In 0.684 0.684 0.818
Si 0.286 0.286 0.052
Si 0.472 0.472 0.287

Largest 10 diffraction maxima, by angle, 5 to 70 degrees two-theta:
two_theta, d/Å, I_rel
33.13, 2.704, 58
33.37, 2.685, 100
33.50, 2.675, 28
34.48, 2.601, 27
37.30, 2.410, 40
39.49, 2.282, 19
42.32, 2.136, 28
55.02, 1.669, 13
55.69, 1.651, 13
65.23, 1.430, 15



3.
HoZnInTe3: theoretical powder diffractogram (λ = 1.5418 Å (Cu Kα)), based on DFT lattice parameters and positions (PBE).
Lines closer than 0.1° are merged.

Crystal structure
Cell lengths 7.973, 7.973, 11.479 Å; angles 90.00, 90.00, 148.54 degrees
Element x y z (fractional)
Ho 0.000 0.000 0.000
Ho 0.000 0.000 0.500
Zn 0.464 0.536 0.750
Zn 0.536 0.464 0.250
In 0.243 0.757 0.250
In 0.757 0.243 0.750
Te 0.075 0.925 0.750
Te 0.364 0.636 0.560
Te 0.364 0.636 0.940
Te 0.636 0.364 0.060
Te 0.636 0.364 0.440
Te 0.925 0.075 0.250

Largest 10 diffraction maxima, by angle, 5 to 70 degrees two-theta:
two_theta, d/Å, I_rel
11.53, 7.675, 29
26.02, 3.424, 33
27.00, 3.302, 39
28.12, 3.174, 75
31.22, 2.865, 100
31.77, 2.817, 23
38.53, 2.337, 30
39.25, 2.295, 41
41.78, 2.162, 34
48.28, 1.885, 27



4.
Ho2Tl3In: theoretical powder diffractogram (λ = 1.5418 Å (Cu Kα)), based on DFT lattice parameters and positions (PBE).
Lines closer than 0.1° are merged.

Crystal structure
Cell lengths 7.652, 7.652, 4.648 Å; angles 90.00, 90.00, 144.60 degrees
Element x y z (fractional)
Ho 0.154 0.846 0.000
Ho 0.846 0.154 0.000
Tl 0.325 0.675 0.500
Tl 0.500 0.500 0.000
Tl 0.675 0.325 0.500
In 0.000 0.000 0.500

Largest 10 diffraction maxima, by angle, 5 to 70 degrees two-theta:
two_theta, d/Å, I_rel
22.69, 3.919, 5
32.89, 2.724, 100
36.36, 2.471, 4
37.00, 2.430, 17
38.72, 2.325, 33
54.63, 1.680, 22
55.92, 1.644, 11
64.08, 1.453, 12
66.41, 1.408, 27
68.96, 1.362, 11



Number 3 is which compound? HoZnInTe3